The following is a computed PXRD pattern of Li2ErCrF8. It was derived from a structure optimized by DFT (PBE+U), using CuKα.
Lines closer than 0.1° are merged.

Principal peaks in the range 2θ = 10–90°, in order of rising 2θ:
2θ (°)	d_spacing	I (rel.)
18.6	4.760	100
23.1	3.846	26
26.5	3.366	59
33.3	2.692	33
38.4	2.341	44
42.4	2.132	23

Structural model:
a = 4.7597 Å, b = 4.7597 Å, c = 6.5292 Å
α = 90.00°, β = 90.00°, γ = 90.20°
Atoms (fractional coordinates):
Li: 0.0000 0.0000 0.2359
Li: 0.0000 0.0000 0.7641
Er: 0.5000 0.5000 0.5000
Cr: 0.5000 0.5000 0.0000
F: 0.1874 0.8126 0.5000
F: 0.2142 0.7858 0.0000
F: 0.3059 0.3059 0.2275
F: 0.3059 0.3059 0.7725
F: 0.6941 0.6941 0.2275
F: 0.6941 0.6941 0.7725
F: 0.7858 0.2142 0.0000
F: 0.8126 0.1874 0.5000